[1]
The following is a theoretical X-ray powder pattern of FeBiC6S6N6. It was derived from a DFT-relaxed cell (GGA-PBE, OQMD), using Cu Ka.

Crystal structure
Cell lengths 8.245, 8.310, 14.466 Å; angles 90.00, 124.48, 90.00 degrees
Atoms (fractional coordinates):
1 Fe 0.000 0.000 0.000
2 Fe 0.000 0.500 0.500
3 Bi 0.500 0.000 0.500
4 Bi 0.500 0.500 0.000
5 C 0.078 0.054 0.231
6 C 0.078 0.446 0.731
7 C 0.245 0.692 0.093
8 C 0.245 0.808 0.593
9 C 0.395 0.136 0.065
10 C 0.395 0.364 0.565
11 C 0.605 0.636 0.435
12 C 0.605 0.864 0.935
13 C 0.755 0.192 0.407
14 C 0.755 0.308 0.907
15 C 0.922 0.554 0.269
16 C 0.922 0.946 0.769
17 S 0.097 0.083 0.348
18 S 0.097 0.417 0.848
19 S 0.387 0.690 0.401
20 S 0.387 0.810 0.901
21 S 0.393 0.539 0.154
22 S 0.393 0.961 0.654
23 S 0.607 0.039 0.346
24 S 0.607 0.461 0.846
25 S 0.613 0.190 0.099
26 S 0.613 0.310 0.599
27 S 0.903 0.583 0.152
28 S 0.903 0.917 0.652
29 N 0.058 0.035 0.144
30 N 0.058 0.465 0.644
31 N 0.136 0.698 0.550
32 N 0.136 0.802 0.050
33 N 0.239 0.096 0.042
34 N 0.239 0.404 0.542
35 N 0.761 0.596 0.458
36 N 0.761 0.904 0.958
37 N 0.864 0.198 0.950
38 N 0.864 0.302 0.450
39 N 0.942 0.535 0.356
40 N 0.942 0.965 0.856

Principal peaks in the range 10° ≤ 2θ ≤ 80°, in order of rising 2θ:
2θ 13.02, I = 664, hkl 1 0 -2; 2θ 14.86, I = 557, hkl 0 0 2; 2θ 15.14, I = 1000, hkl 1 1 -1; 2θ 21.27, I = 723, hkl 1 1 1; 2θ 21.38, I = 310, hkl 0 2 0; 2θ 26.19, I = 268, hkl 2 0 0; 2θ 26.34, I = 203, hkl 2 0 -4; 2θ 33.03, I = 335, hkl 2 1 1; 2θ 33.19, I = 273, hkl 2 1 -5; 2θ 33.76, I = 323, hkl 1 1 -5; 2θ 34.13, I = 499, hkl 1 3 -1; 2θ 37.37, I = 241, hkl 2 0 -6

---

[2]
The following is a theoretical X-ray powder pattern of NiBiH4C6S6N7. It was derived from a DFT-relaxed cell (GGA-PBE, OQMD), using Cu Ka.

Crystal structure
Cell lengths 8.450, 8.645, 11.828 Å; angles 97.25, 91.23, 91.56 degrees
Atoms (fractional coordinates):
1 Ni 0.000 0.000 0.000
2 Ni 0.500 0.500 0.500
3 Bi 0.000 0.000 0.500
4 Bi 0.500 0.500 0.000
5 H 0.027 0.350 0.336
6 H 0.054 0.233 0.210
7 H 0.087 0.631 0.782
8 H 0.104 0.426 0.222
9 H 0.896 0.574 0.778
10 H 0.913 0.369 0.218
11 H 0.946 0.767 0.790
12 H 0.973 0.650 0.664
13 C 0.168 0.642 0.456
14 C 0.175 0.718 0.091
15 C 0.175 0.985 0.763
16 C 0.329 0.177 0.392
17 C 0.331 0.165 0.076
18 C 0.340 0.436 0.734
19 C 0.660 0.564 0.266
20 C 0.669 0.835 0.924
21 C 0.671 0.823 0.608
22 C 0.825 0.015 0.237
23 C 0.825 0.282 0.909
24 C 0.832 0.358 0.544
25 S 0.022 0.325 0.557
26 S 0.240 0.013 0.336
27 S 0.241 0.402 0.847
28 S 0.272 0.987 0.645
29 S 0.278 0.609 0.168
30 S 0.481 0.787 0.907
31 S 0.519 0.213 0.093
32 S 0.722 0.391 0.832
33 S 0.728 0.013 0.355
34 S 0.759 0.598 0.153
35 S 0.760 0.987 0.664
36 S 0.978 0.675 0.443
37 N 0.024 0.344 0.247
38 N 0.103 0.800 0.038
39 N 0.104 0.978 0.847
40 N 0.195 0.130 0.067
41 N 0.302 0.611 0.464
42 N 0.394 0.296 0.428
43 N 0.407 0.462 0.652
44 N 0.593 0.538 0.348
45 N 0.606 0.704 0.572
46 N 0.698 0.389 0.536
47 N 0.805 0.870 0.933
48 N 0.896 0.022 0.153
49 N 0.897 0.200 0.962
50 N 0.976 0.656 0.753

Principal peaks in the range 10° ≤ 2θ ≤ 80°, in order of rising 2θ:
2θ 12.76, I = 363, hkl 1 0 -1; 2θ 13.07, I = 383, hkl 1 0 1; 2θ 14.50, I = 1000, hkl 1 -1 0; 2θ 14.95, I = 845, hkl 1 1 0; 2θ 15.11, I = 843, hkl 0 0 2; 2θ 20.18, I = 704, hkl 1 1 -2; 2θ 20.72, I = 496, hkl 0 2 0; 2θ 25.69, I = 342, hkl 2 0 -2; 2θ 26.32, I = 356, hkl 2 0 2; 2θ 32.09, I = 386, hkl 2 -1 3; 2θ 32.58, I = 340, hkl 1 1 -4; 2θ 36.88, I = 328, hkl 2 0 -4

---

[3]
The following is a theoretical X-ray powder pattern of Zr4InBiC2. It was derived from a DFT-relaxed cell (GGA-PBE, OQMD), using Cu Ka.

Crystal structure
Cell lengths 3.417, 3.417, 14.863 Å; angles 90.00, 90.00, 120.00 degrees
Atoms (fractional coordinates):
1 Zr 0.000 0.000 0.167
2 Zr 0.000 0.000 0.833
3 Zr 0.667 0.333 0.332
4 Zr 0.667 0.333 0.668
5 In 0.000 0.000 0.500
6 Bi 0.667 0.333 0.000
7 C 0.333 0.667 0.250
8 C 0.333 0.667 0.750

Principal peaks in the range 10° ≤ 2θ ≤ 80°, in order of rising 2θ:
2θ 11.91, I = 56, hkl 0 0 2; 2θ 30.20, I = 233, hkl 1 0 0; 2θ 30.81, I = 64, hkl 1 0 1; 2θ 32.57, I = 45, hkl 1 0 2; 2θ 35.33, I = 1000, hkl 1 0 3; 2θ 36.27, I = 193, hkl 0 0 6; 2θ 47.89, I = 161, hkl 1 0 6; 2θ 53.65, I = 207, hkl 1 1 0; 2θ 64.64, I = 168, hkl 1 0 9; 2θ 65.89, I = 159, hkl 2 0 3; 2θ 66.49, I = 196, hkl 1 1 6; 2θ 74.74, I = 42, hkl 2 0 6